The following is a simulated powder XRD pattern of ZnTeMoO6. It was derived from a cell relaxed with GGA+U, using Cu Kα (weighted mean of Kα1 and Kα2).

The 10 most intense peaks (10 to 90 degrees two-theta), low angle first:
hkl 0 0 2, 2θ 19.07, I 22; hkl 1 1 0, 2θ 24.10, I 33; hkl 1 0 2, 2θ 25.94, I 39; hkl 1 1 2, 2θ 30.91, I 100; hkl 0 2 0, 2θ 33.44, I 18; hkl 0 0 4, 2θ 38.75, I 12; hkl 2 2 0, 2θ 49.35, I 27; hkl 2 0 4, 2θ 53.35, I 13; hkl 1 3 2, 2θ 58.22, I 20; hkl 3 1 2, 2θ 60.54, I 15

```
18
Lattice="5.0968 0.0000 0.0000 0.0000 5.3570 0.0000 0.0000 0.0000 9.3072" Properties=species:S:1:pos:R:3 pbc="T T T"
Zn 0.0000 0.0000 0.2312
Zn 2.5484 2.6785 9.0760
Te 0.0000 2.6785 2.2071
Te 2.5484 0.0000 7.1001
Mo 0.0000 2.6785 6.4897
Mo 2.5484 0.0000 2.8175
O 0.7952 1.5379 5.4477
O 1.1278 3.6078 0.9491
O 1.2019 0.9584 1.8927
O 1.3465 3.6369 7.4145
O 1.4206 0.9293 8.3581
O 1.7532 4.2164 3.8595
O 3.3436 1.1406 3.8595
O 3.6762 4.4277 8.3581
O 3.7503 1.7201 7.4145
O 3.8949 4.3986 1.8927
O 3.9690 1.7492 0.9491
O 4.3016 3.8190 5.4477
```